The following is a simulated powder diffractogram of Dy4InRh. It was derived from a crystal structure in the Materials Project, relaxed with GGA-PBE, using Cu Ka.
Neutral-atom scattering factors, no anomalous dispersion.

Main lines, in order of falling intensity (10° ≤ 2θ ≤ 90°):
| 2θ/deg | intensity |
| --- | --- |
| 34.11 | 1000 |
| 32.11 | 509 |
| 57.24 | 467 |
| 37.24 | 319 |
| 28.49 | 254 |
| 88.20 | 148 |
| 68.34 | 147 |
| 86.37 | 142 |
| 58.53 | 134 |
| 55.04 | 97 |
| 71.45 | 97 |
| 51.39 | 95 |

Crystal structure
a = 9.6573 Å, b = 9.6573 Å, c = 9.6573 Å
α = 60.00°, β = 60.00°, γ = 60.00°
Fractional positions:
Dy1 0.0609 0.0609 0.4391
Dy2 0.0609 0.4391 0.0609
Dy3 0.0609 0.4391 0.4391
Dy4 0.1879 0.1879 0.8121
Dy5 0.1879 0.8121 0.1879
Dy6 0.1879 0.8121 0.8121
Dy7 0.2006 0.5998 0.5998
Dy8 0.4391 0.0609 0.0609
Dy9 0.4391 0.0609 0.4391
Dy10 0.4391 0.4391 0.0609
Dy11 0.5998 0.2006 0.5998
Dy12 0.5998 0.5998 0.2006
Dy13 0.5998 0.5998 0.5998
Dy14 0.8121 0.1879 0.1879
Dy15 0.8121 0.1879 0.8121
Dy16 0.8121 0.8121 0.1879
In1 0.5018 0.8327 0.8327
In2 0.8327 0.5018 0.8327
In3 0.8327 0.8327 0.5018
In4 0.8327 0.8327 0.8327
Rh1 0.3925 0.3925 0.3925
Rh2 0.3925 0.3925 0.8225
Rh3 0.3925 0.8225 0.3925
Rh4 0.8225 0.3925 0.3925



The following is a simulated powder diffractogram of CdP2. It was derived from a crystal structure in the Materials Project, relaxed with GGA-PBE, using Cu Ka.
Neutral-atom scattering factors, no anomalous dispersion.

Main lines, in order of falling intensity (10° ≤ 2θ ≤ 90°):
| 2θ/deg | intensity |
| --- | --- |
| 24.33 | 1000 |
| 25.11 | 861 |
| 46.64 | 476 |
| 38.60 | 365 |
| 23.88 | 346 |
| 33.72 | 272 |
| 27.81 | 246 |
| 54.50 | 221 |
| 29.55 | 217 |
| 48.89 | 213 |
| 35.87 | 203 |
| 27.04 | 186 |

Crystal structure
a = 5.3633 Å, b = 5.3633 Å, c = 20.0152 Å
α = 90.00°, β = 90.00°, γ = 90.00°
Fractional positions:
Cd1 0.1264 0.3468 0.2984
Cd2 0.1532 0.6264 0.5484
Cd3 0.3468 0.1264 0.7016
Cd4 0.3736 0.8468 0.9516
Cd5 0.6264 0.1532 0.4516
Cd6 0.6532 0.8736 0.2016
Cd7 0.8468 0.3736 0.0484
Cd8 0.8736 0.6532 0.7984
P1 0.0204 0.0242 0.8742
P2 0.0242 0.0204 0.1258
P3 0.1925 0.7140 0.0655
P4 0.2140 0.3075 0.8155
P5 0.2860 0.8075 0.4345
P6 0.3075 0.2140 0.1845
P7 0.4758 0.5204 0.1242
P8 0.4796 0.5242 0.3758
P9 0.5204 0.4758 0.8758
P10 0.5242 0.4796 0.6242
P11 0.6925 0.7860 0.6845
P12 0.7140 0.1925 0.9345
P13 0.7860 0.6925 0.3155
P14 0.8075 0.2860 0.5655
P15 0.9758 0.9796 0.6258
P16 0.9796 0.9758 0.3742